Record 1
Computed powder XRD pattern of Tl2Zn2Cl5 for CuKα, from a GGA-PBE-relaxed structure.
Intensities are scaled so that the largest is 100.

Largest 10 diffraction maxima, in order of falling intensity, 2θ from 5° to 70°:
- (1 1 1), 2θ 23.2, I 100
- (2 0 -2), 2θ 24.6, I 54
- (1 1 -2), 2θ 29.3, I 50
- (0 2 0), 2θ 33.8, I 49
- (3 1 -1), 2θ 26.3, I 47
- (6 0 -2), 2θ 41.1, I 44
- (4 0 0), 2θ 27.1, I 43
- (3 1 1), 2θ 32.0, I 36
- (5 1 0), 2θ 38.2, I 36
- (1 1 0), 2θ 18.0, I 34

```
data_Tl2Zn2Cl5
_cell_length_a 13.8387
_cell_length_b 5.3086
_cell_length_c 7.4417
_cell_angle_alpha 90.00
_cell_angle_beta 108.20
_cell_angle_gamma 90.00
_symmetry_space_group_name_H-M 'C 1 2/m 1'
_symmetry_Int_Tables_number 12
loop_
_symmetry_equiv_pos_as_xyz
'x,y,z'
'-x,-y,-z'
'-x,y,-z'
'x,-y,z'
'x+1/2,y+1/2,z'
'-x+1/2,-y+1/2,-z'
'-x+1/2,y+1/2,-z'
'x+1/2,-y+1/2,z'
loop_
_atom_site_label
_atom_site_type_symbol
_atom_site_fract_x
_atom_site_fract_y
_atom_site_fract_z
Tl1 Tl 0.1020 0.0000 0.3193
Zn1 Zn 0.1539 0.5000 0.8925
Cl1 Cl 0.0000 0.5000 0.0000
Cl2 Cl 0.1570 0.5000 0.5750
Cl3 Cl 0.1590 0.0000 0.9234
```

***

Record 2
Computed powder XRD pattern of Tl3ZnCl6 for CuKα, from a GGA-PBE-relaxed structure.
Intensities are scaled so that the largest is 100.

Largest 10 diffraction maxima, in order of falling intensity, 2θ from 5° to 70°:
- (2 2 1), 2θ 22.5, I 100
- (1 3 1), 2θ 23.1, I 71
- (3 1 2), 2θ 34.0, I 47
- (3 5 0), 2θ 37.3, I 38
- (3 1 0), 2θ 22.4, I 31
- (5 3 1), 2θ 42.8, I 31
- (3 3 1), 2θ 30.9, I 26
- (0 4 3), 2θ 45.6, I 26
- (1 1 1), 2θ 15.6, I 25
- (0 4 2), 2θ 35.1, I 21

```
data_Tl3ZnCl6
_cell_length_a 12.3760
_cell_length_b 14.8593
_cell_length_c 7.0645
_cell_angle_alpha 90.00
_cell_angle_beta 90.00
_cell_angle_gamma 90.00
_symmetry_space_group_name_H-M 'C m c 21'
_symmetry_Int_Tables_number 36
loop_
_symmetry_equiv_pos_as_xyz
'x,y,z'
'-x,-y,z+1/2'
'-x,y,z'
'x,-y,z+1/2'
'x+1/2,y+1/2,z'
'-x+1/2,-y+1/2,z+1/2'
'-x+1/2,y+1/2,z'
'x+1/2,-y+1/2,z+1/2'
loop_
_atom_site_label
_atom_site_type_symbol
_atom_site_fract_x
_atom_site_fract_y
_atom_site_fract_z
Tl1 Tl 0.0000 0.0819 0.0000
Tl2 Tl 0.1792 0.3967 0.8974
Zn1 Zn 0.0000 0.2954 0.3381
Cl1 Cl 0.0000 0.2818 0.6546
Cl2 Cl 0.0000 0.4419 0.2358
Cl3 Cl 0.1424 0.2247 0.1810
Cl4 Cl 0.1469 0.0371 0.7055
```

***

Record 3
Computed powder XRD pattern of TlZnCl3 for CuKα, from a GGA-PBE-relaxed structure.
Intensities are scaled so that the largest is 100.

Largest 10 diffraction maxima, in order of falling intensity, 2θ from 5° to 70°:
- (1 1 -1), 2θ 16.4, I 100
- (1 3 0), 2θ 27.1, I 98
- (0 2 1), 2θ 21.0, I 96
- (2 2 -1), 2θ 27.5, I 74
- (0 0 2), 2θ 26.1, I 73
- (2 0 0), 2θ 22.0, I 60
- (1 3 2), 2θ 40.4, I 49
- (3 1 -1), 2θ 32.9, I 46
- (2 2 1), 2θ 33.4, I 45
- (1 5 -1), 2θ 44.4, I 40

```
data_TlZnCl3
_cell_length_a 8.4878
_cell_length_b 10.8040
_cell_length_c 7.1689
_cell_angle_alpha 90.00
_cell_angle_beta 107.72
_cell_angle_gamma 90.00
_symmetry_space_group_name_H-M 'C 1 c 1'
_symmetry_Int_Tables_number 9
loop_
_symmetry_equiv_pos_as_xyz
'x,y,z'
'x,-y,z+1/2'
'x+1/2,y+1/2,z'
'x+1/2,-y+1/2,z+1/2'
loop_
_atom_site_label
_atom_site_type_symbol
_atom_site_fract_x
_atom_site_fract_y
_atom_site_fract_z
Tl1 Tl 0.0000 0.1717 0.0000
Zn1 Zn 0.0732 0.4470 0.4916
Cl1 Cl 0.1385 0.2479 0.4641
Cl2 Cl 0.2978 0.4283 0.0739
Cl3 Cl 0.4037 0.0312 0.1922
```

***

Record 4
Computed powder XRD pattern of Tl2ZnCl for CuKα, from a GGA-PBE-relaxed structure.
Intensities are scaled so that the largest is 100.

Largest 10 diffraction maxima, in order of falling intensity, 2θ from 5° to 70°:
- (1 0 4), 2θ 31.3, I 100
- (0 0 3), 2θ 9.2, I 52
- (0 1 8), 2θ 38.2, I 48
- (0 1 5), 2θ 32.7, I 33
- (1 1 0), 2θ 50.7, I 28
- (1 0 1), 2θ 28.8, I 26
- (0 0 9), 2θ 27.9, I 23
- (1 1 9), 2θ 58.9, I 18
- (1 0 13), 2θ 50.6, I 16
- (1 1 12), 2θ 64.8, I 16

```
data_Tl2ZnCl
_cell_length_a 3.5993
_cell_length_b 3.5993
_cell_length_c 28.7738
_cell_angle_alpha 90.00
_cell_angle_beta 90.00
_cell_angle_gamma 120.00
_symmetry_space_group_name_H-M 'R 3 m'
_symmetry_Int_Tables_number 160
_symmetry_space_group_name_Hall 'R 3 -2"'
loop_
_atom_site_label
_atom_site_type_symbol
_atom_site_fract_x
_atom_site_fract_y
_atom_site_fract_z
Tl1 Tl 0.0000 0.0000 0.0000
Tl2 Tl 0.0000 0.0000 0.2349
Zn1 Zn 0.0000 0.0000 0.7431
Cl1 Cl 0.0000 0.0000 0.4618
```